For Li2Fe2C2O7, a PBE+U-relaxed structure gives the computed PXRD pattern in this record (CuKα).
Intensities are scaled so that the largest is 100.

Crystal structure
a = 10.666 Å, b = 6.048 Å, c = 9.613 Å
α = 90.00°, β = 116.41°, γ = 90.00°
Atoms (fractional coordinates):
Li (0.006, 0.042, 0.246)
Li (0.006, 0.458, 0.746)
Li (0.144, 0.198, 0.066)
Li (0.144, 0.302, 0.566)
Li (0.856, 0.698, 0.434)
Li (0.856, 0.802, 0.934)
Li (0.994, 0.542, 0.254)
Li (0.994, 0.958, 0.754)
Fe (0.342, 0.600, 0.912)
Fe (0.342, 0.900, 0.412)
Fe (0.474, 0.602, 0.264)
Fe (0.474, 0.898, 0.764)
Fe (0.526, 0.102, 0.236)
Fe (0.526, 0.398, 0.736)
Fe (0.658, 0.100, 0.588)
Fe (0.658, 0.400, 0.088)
C (0.139, 0.731, 0.061)
C (0.139, 0.769, 0.561)
C (0.274, 0.136, 0.854)
C (0.274, 0.364, 0.354)
C (0.726, 0.636, 0.646)
C (0.726, 0.864, 0.146)
C (0.861, 0.231, 0.439)
C (0.861, 0.269, 0.939)
O (0.030, 0.710, 0.928)
O (0.030, 0.790, 0.428)
O (0.130, 0.685, 0.680)
O (0.130, 0.815, 0.180)
O (0.169, 0.155, 0.887)
O (0.169, 0.345, 0.387)
O (0.260, 0.664, 0.073)
O (0.260, 0.836, 0.573)
O (0.297, 0.205, 0.275)
O (0.297, 0.295, 0.775)
O (0.356, 0.533, 0.395)
O (0.356, 0.967, 0.895)
O (0.482, 0.117, 0.620)
O (0.482, 0.383, 0.120)
O (0.518, 0.617, 0.880)
O (0.518, 0.883, 0.380)
O (0.644, 0.033, 0.105)
O (0.644, 0.467, 0.605)
O (0.703, 0.705, 0.225)
O (0.703, 0.795, 0.725)
O (0.740, 0.164, 0.427)
O (0.740, 0.336, 0.927)
O (0.831, 0.655, 0.613)
O (0.831, 0.845, 0.113)
O (0.870, 0.185, 0.820)
O (0.870, 0.315, 0.320)
O (0.970, 0.210, 0.572)
O (0.970, 0.290, 0.072)

The 10 most intense peaks (2θ = 10–90°), low angle first:
5.110 Å, 2θ = 17.35°, intensity 42; 4.946 Å, 2θ = 17.93°, intensity 42; 3.399 Å, 2θ = 26.22°, intensity 80; 2.963 Å, 2θ = 30.16°, intensity 44; 2.851 Å, 2θ = 31.37°, intensity 100; 2.663 Å, 2θ = 33.66°, intensity 59; 2.647 Å, 2θ = 33.87°, intensity 47; 2.626 Å, 2θ = 34.15°, intensity 42; 2.082 Å, 2θ = 43.47°, intensity 54; 2.019 Å, 2θ = 44.89°, intensity 43